Theoretical PXRD pattern
Compound: Ag2GeF6
Radiation: copper Kα
Structure: a structure optimized by DFT (PBE)
Peak positions follow from Bragg's law for the DFT cell and can differ from measured ones.

Peak list (10 most intense, 15° ≤ 2θ ≤ 90°, in order of rising 2θ)
| index | Position (°2θ) | intensity |
| --- | --- | --- |
| 1 0 -2 | 20.17 | 59 |
| 1 1 -1 | 23.12 | 44 |
| 2 0 -2 | 32.93 | 100 |
| 1 1 1 | 33.11 | 94 |
| 1 1 -3 | 33.42 | 93 |
| 2 0 0 | 40.62 | 24 |
| 0 2 2 | 40.93 | 47 |
| 2 2 -2 | 47.26 | 73 |
| 0 0 4 | 48.26 | 38 |
| 3 1 -5 | 59.27 | 28 |

Structural model:
abc: 5.445 5.436 9.247
angles: 90.00 125.35 90.00
Element x y z (fractional)
1 Ag 0.244 0.022 0.249
2 Ag 0.244 0.478 0.749
3 Ag 0.756 0.522 0.251
4 Ag 0.756 0.978 0.751
5 Ge 0.500 0.000 0.000
6 Ge 0.500 0.500 0.500
7 F 0.207 0.198 0.976
8 F 0.207 0.302 0.476
9 F 0.282 0.729 0.978
10 F 0.282 0.771 0.478
11 F 0.309 0.004 0.761
12 F 0.309 0.496 0.261
13 F 0.691 0.504 0.739
14 F 0.691 0.996 0.239
15 F 0.718 0.229 0.522
16 F 0.718 0.271 0.022
17 F 0.793 0.698 0.524
18 F 0.793 0.802 0.024

***

Theoretical PXRD pattern
Compound: AgGeF6
Radiation: copper Kα
Structure: a structure optimized by DFT (PBE)
Peak positions follow from Bragg's law for the DFT cell and can differ from measured ones.

Peak list (10 most intense, 15° ≤ 2θ ≤ 90°, in order of rising 2θ)
| index | Position (°2θ) | intensity |
| --- | --- | --- |
| 0 1 0 | 23.86 | 100 |
| 1 1 1 | 25.42 | 83 |
| 1 0 -1 | 25.54 | 83 |
| 1 0 1 | 33.23 | 54 |
| 1 1 -1 | 33.52 | 45 |
| 0 1 2 | 34.89 | 42 |
| -1 1 1 | 36.92 | 36 |
| 2 0 0 | 45.00 | 21 |
| 0 2 2 | 45.65 | 22 |
| 1 2 -1 | 53.55 | 21 |

Structural model:
abc: 4.767 4.873 5.197
angles: 64.86 89.67 60.90
Element x y z (fractional)
1 Ag 0.000 0.000 0.000
2 Ge 0.500 0.000 0.500
3 F 0.099 0.193 0.260
4 F 0.274 0.188 0.730
5 F 0.486 0.404 0.286
6 F 0.514 0.596 0.714
7 F 0.726 0.812 0.270
8 F 0.901 0.807 0.740

***

Please write out number 2 again, unchanged.
Theoretical PXRD pattern
Compound: AgGeF6
Radiation: copper Kα
Structure: a structure optimized by DFT (PBE)
Peak positions follow from Bragg's law for the DFT cell and can differ from measured ones.

Peak list (10 most intense, 15° ≤ 2θ ≤ 90°, in order of rising 2θ)
| index | Position (°2θ) | intensity |
| --- | --- | --- |
| 0 1 0 | 23.86 | 100 |
| 1 1 1 | 25.42 | 83 |
| 1 0 -1 | 25.54 | 83 |
| 1 0 1 | 33.23 | 54 |
| 1 1 -1 | 33.52 | 45 |
| 0 1 2 | 34.89 | 42 |
| -1 1 1 | 36.92 | 36 |
| 2 0 0 | 45.00 | 21 |
| 0 2 2 | 45.65 | 22 |
| 1 2 -1 | 53.55 | 21 |

Structural model:
abc: 4.767 4.873 5.197
angles: 64.86 89.67 60.90
Element x y z (fractional)
1 Ag 0.000 0.000 0.000
2 Ge 0.500 0.000 0.500
3 F 0.099 0.193 0.260
4 F 0.274 0.188 0.730
5 F 0.486 0.404 0.286
6 F 0.514 0.596 0.714
7 F 0.726 0.812 0.270
8 F 0.901 0.807 0.740

***

- What is the formula in the second record?
  AgGeF6